# 1
This entry pairs a crystal structure of Li3MnPCO7 with its computed powder diffraction line list. Radiation: Cu Ka. Structure: a DFT-relaxed cell (GGA+U, Alexandria).
Kinematic intensities with the Lorentz-polarization factor, no thermal factor.

Cell and atoms:
```
26
Lattice="6.548 0.000 0.000 0.000 8.712 0.000 0.000 0.000 5.023" Properties=species:S:1:pos:R:3 pbc="T T T"
Li 0.000 0.577 0.000
Li 1.460 2.402 3.051
Li 1.814 6.310 0.540
Li 3.274 8.135 2.511
Li 4.734 6.310 0.540
Li 5.088 2.402 3.051
Mn 0.000 5.634 3.011
Mn 3.274 3.078 0.500
P 0.000 3.619 0.561
P 3.274 5.093 3.072
C 0.000 8.463 2.719
C 3.274 0.249 0.208
O 0.000 1.029 2.971
O 0.000 3.623 2.118
O 0.000 5.119 0.097
O 0.000 7.661 3.750
O 0.000 8.002 1.516
O 1.232 2.856 0.005
O 2.042 5.855 2.516
O 3.274 0.709 4.028
O 3.274 1.050 1.238
O 3.274 3.593 2.608
O 3.274 5.088 4.630
O 3.274 7.683 0.459
O 4.506 5.855 2.516
O 5.316 2.856 0.005
```

Top 10 peaks for 2θ from 15° to 90°, in order of rising 2θ:
hkl, Position (°2θ), I (rel.)
0 1 1, 20.41, 64.4
1 0 1, 22.31, 19.8
0 2 1, 27.10, 61.4
2 0 0, 27.24, 100.0
0 3 0, 30.79, 20.5
2 2 0, 34.27, 35.2
0 0 2, 35.75, 33.8
2 2 1, 38.80, 24.9
1 2 2, 43.84, 29.1
3 4 0, 60.03, 19.3

---

# 2
This entry pairs a crystal structure of VSiP2O9 with its computed powder diffraction line list. Radiation: Cu Ka. Structure: a DFT-relaxed cell (GGA+U, Alexandria).
Kinematic intensities with the Lorentz-polarization factor, no thermal factor.

Cell and atoms:
```
52
Lattice="8.950 0.000 0.000 0.000 8.950 0.000 0.000 0.000 8.322" Properties=species:S:1:pos:R:3 pbc="T T T"
V 2.238 2.238 1.320
V 2.238 2.238 5.481
V 6.713 6.713 2.841
V 6.713 6.713 7.003
Si 2.238 6.713 0.000
Si 2.238 6.713 4.161
Si 6.713 2.238 0.000
Si 6.713 2.238 4.161
P 0.642 5.117 2.081
P 0.642 8.308 6.242
P 3.833 5.117 6.242
P 3.833 8.308 2.081
P 5.117 0.642 6.242
P 5.117 3.833 2.081
P 8.308 0.642 2.081
P 8.308 3.833 6.242
O 0.784 0.891 1.679
O 0.784 3.584 5.840
O 0.891 0.784 5.840
O 0.891 3.691 1.679
O 1.030 6.117 0.910
O 1.030 7.308 5.072
O 1.642 5.505 3.251
O 1.642 7.920 7.412
O 2.238 2.238 3.841
O 2.238 2.238 8.002
O 2.833 5.505 7.412
O 2.833 7.920 3.251
O 3.445 6.117 5.072
O 3.445 7.308 0.910
O 3.584 0.784 1.679
O 3.584 3.691 5.840
O 3.691 0.891 5.840
O 3.691 3.584 1.679
O 5.259 5.366 6.644
O 5.259 8.059 2.483
O 5.366 5.259 2.483
O 5.366 8.166 6.644
O 5.505 1.642 7.412
O 5.505 2.833 3.251
O 6.117 1.030 5.072
O 6.117 3.445 0.910
O 6.713 6.713 0.320
O 6.713 6.713 4.481
O 7.308 1.030 0.910
O 7.308 3.445 5.072
O 7.920 1.642 3.251
O 7.920 2.833 7.412
O 8.059 5.259 6.644
O 8.059 8.166 2.483
O 8.166 5.366 2.483
O 8.166 8.059 6.644
```

Top 10 peaks for 2θ from 15° to 90°, in order of rising 2θ:
hkl, Position (°2θ), I (rel.)
2 0 0, 19.84, 22.9
0 0 2, 21.35, 26.8
1 0 2, 23.58, 31.3
2 1 1, 24.68, 100.0
1 1 2, 25.62, 22.2
2 2 0, 28.20, 57.7
2 0 2, 29.31, 51.1
2 1 2, 31.00, 26.6
1 0 4, 44.72, 14.3
4 2 0, 45.31, 18.7

---

> Number 2 is which compound?

VSiP2O9

---

Repeat the second record exactly.
This entry pairs a crystal structure of VSiP2O9 with its computed powder diffraction line list. Radiation: Cu Ka. Structure: a DFT-relaxed cell (GGA+U, Alexandria).
Kinematic intensities with the Lorentz-polarization factor, no thermal factor.

Cell and atoms:
```
52
Lattice="8.950 0.000 0.000 0.000 8.950 0.000 0.000 0.000 8.322" Properties=species:S:1:pos:R:3 pbc="T T T"
V 2.238 2.238 1.320
V 2.238 2.238 5.481
V 6.713 6.713 2.841
V 6.713 6.713 7.003
Si 2.238 6.713 0.000
Si 2.238 6.713 4.161
Si 6.713 2.238 0.000
Si 6.713 2.238 4.161
P 0.642 5.117 2.081
P 0.642 8.308 6.242
P 3.833 5.117 6.242
P 3.833 8.308 2.081
P 5.117 0.642 6.242
P 5.117 3.833 2.081
P 8.308 0.642 2.081
P 8.308 3.833 6.242
O 0.784 0.891 1.679
O 0.784 3.584 5.840
O 0.891 0.784 5.840
O 0.891 3.691 1.679
O 1.030 6.117 0.910
O 1.030 7.308 5.072
O 1.642 5.505 3.251
O 1.642 7.920 7.412
O 2.238 2.238 3.841
O 2.238 2.238 8.002
O 2.833 5.505 7.412
O 2.833 7.920 3.251
O 3.445 6.117 5.072
O 3.445 7.308 0.910
O 3.584 0.784 1.679
O 3.584 3.691 5.840
O 3.691 0.891 5.840
O 3.691 3.584 1.679
O 5.259 5.366 6.644
O 5.259 8.059 2.483
O 5.366 5.259 2.483
O 5.366 8.166 6.644
O 5.505 1.642 7.412
O 5.505 2.833 3.251
O 6.117 1.030 5.072
O 6.117 3.445 0.910
O 6.713 6.713 0.320
O 6.713 6.713 4.481
O 7.308 1.030 0.910
O 7.308 3.445 5.072
O 7.920 1.642 3.251
O 7.920 2.833 7.412
O 8.059 5.259 6.644
O 8.059 8.166 2.483
O 8.166 5.366 2.483
O 8.166 8.059 6.644
```

Top 10 peaks for 2θ from 15° to 90°, in order of rising 2θ:
hkl, Position (°2θ), I (rel.)
2 0 0, 19.84, 22.9
0 0 2, 21.35, 26.8
1 0 2, 23.58, 31.3
2 1 1, 24.68, 100.0
1 1 2, 25.62, 22.2
2 2 0, 28.20, 57.7
2 0 2, 29.31, 51.1
2 1 2, 31.00, 26.6
1 0 4, 44.72, 14.3
4 2 0, 45.31, 18.7